This entry pairs a crystal structure of Pr2Pb17Se20 with its calculated powder XRD pattern. Radiation: Cu Kα. Structure: the PBE geometry in Alexandria.
Peak positions follow from Bragg's law for the DFT cell and can differ from measured ones.

Most intense lines, 10° ≤ 2θ ≤ 90°, in order of falling intensity:
two_theta  I (rel.)
28.8  100
41.2  51
67.5  23
24.9  16
24.8  15
51.2  14
50.8  13
41.4  13
59.6  13
40.9  13

Crystal structure
Cell: 9.8029 9.8029 29.2228 Å, 101.51 101.51 25.73°
Sites, in units of the cell vectors:
Pr  0.0980  0.0980  0.4037
Pr  0.9020  0.9020  0.5963
Pb  0.0020  0.0020  0.7512
Pb  0.1015  0.1015  0.9012
Pb  0.1968  0.1968  0.5503
Pb  0.2008  0.2008  0.0514
Pb  0.2962  0.2962  0.7002
Pb  0.3010  0.3010  0.2023
Pb  0.3990  0.3990  0.8500
Pb  0.4068  0.4068  0.3560
Pb  0.5000  0.5000  0.0000
Pb  0.5932  0.5932  0.6440
Pb  0.6010  0.6010  0.1500
Pb  0.6990  0.6990  0.7977
Pb  0.7038  0.7038  0.2998
Pb  0.7992  0.7992  0.9486
Pb  0.8032  0.8032  0.4497
Pb  0.8985  0.8985  0.0988
Pb  0.9980  0.9980  0.2488
Se  0.0466  0.0466  0.5776
Se  0.0494  0.0494  0.0753
Se  0.1486  0.1486  0.2261
Se  0.1528  0.1528  0.7275
Se  0.2462  0.2462  0.3770
Se  0.2519  0.2519  0.8769
Se  0.3465  0.3465  0.5289
Se  0.3513  0.3513  0.0266
Se  0.4456  0.4456  0.6690
Se  0.4515  0.4515  0.1774
Se  0.5485  0.5485  0.8226
Se  0.5544  0.5544  0.3310
Se  0.6487  0.6487  0.9734
Se  0.6535  0.6535  0.4711
Se  0.7481  0.7481  0.1231
Se  0.7538  0.7538  0.6230
Se  0.8472  0.8472  0.2725
Se  0.8514  0.8514  0.7739
Se  0.9506  0.9506  0.9247
Se  0.9534  0.9534  0.4224